(1)
Starting from a GGA-PBE-relaxed structure, the PXRD pattern of Fe2TcAs was calculated for Cu Kα (λ = 1.5418 Å).
Kinematic intensities with the Lorentz-polarization factor, no thermal factor.

Principal peaks in the range 10° ≤ 2θ ≤ 90°, low angle first:
d_spacing	two_theta	intensity
2.676	33.49	8.4
2.142	42.19	56.3
2.077	43.58	100.0
1.515	61.19	17.7
1.224	78.09	33.1
1.187	80.97	14.1

Cell and atoms:
```
data_Fe2TcAs
_chemical_formula_sum 'Fe2 Tc1 As1'
_cell_length_a 3.029
_cell_length_b 3.029
_cell_length_c 5.707
_cell_angle_alpha 90.00
_cell_angle_beta 90.00
_cell_angle_gamma 90.00
_space_group_name_H-M_alt 'P 1'
_space_group_IT_number 1
loop_
_space_group_symop_operation_xyz
'x,y,z'
loop_
_atom_site_label
_atom_site_type_symbol
_atom_site_fract_x
_atom_site_fract_y
_atom_site_fract_z
Fe1 Fe 0.000 0.000 0.000
Fe2 Fe 0.500 0.500 0.224
Tc1 Tc 0.000 0.000 0.498
As1 As 0.500 0.500 0.757
```

---

(2)
Starting from a GGA-PBE-relaxed structure, the PXRD pattern of ThFe5As3 was calculated for Cu Kα (λ = 1.5418 Å).
Kinematic intensities with the Lorentz-polarization factor, no thermal factor.

Principal peaks in the range 10° ≤ 2θ ≤ 90°, low angle first:
d_spacing	two_theta	intensity
2.963	30.16	37.3
2.809	31.86	45.1
2.670	33.56	93.5
2.528	35.50	100.0
2.281	39.51	63.0
1.934	46.98	62.4

Cell and atoms:
```
data_ThFe5As3
_chemical_formula_sum 'Th2 Fe10 As6'
_cell_length_a 6.427
_cell_length_b 6.427
_cell_length_c 11.610
_cell_angle_alpha 90.00
_cell_angle_beta 90.00
_cell_angle_gamma 144.98
_space_group_name_H-M_alt 'P 1'
_space_group_IT_number 1
loop_
_space_group_symop_operation_xyz
'x,y,z'
loop_
_atom_site_label
_atom_site_type_symbol
_atom_site_fract_x
_atom_site_fract_y
_atom_site_fract_z
Th1 Th 0.164 0.836 0.750
Th2 Th 0.836 0.164 0.250
Fe1 Fe 0.000 0.000 0.000
Fe2 Fe 0.000 0.000 0.500
Fe3 Fe 0.190 0.810 0.053
Fe4 Fe 0.190 0.810 0.447
Fe5 Fe 0.442 0.558 0.646
Fe6 Fe 0.442 0.558 0.854
Fe7 Fe 0.558 0.442 0.146
Fe8 Fe 0.558 0.442 0.354
Fe9 Fe 0.810 0.190 0.553
Fe10 Fe 0.810 0.190 0.947
As1 As 0.123 0.877 0.250
As2 As 0.380 0.620 0.055
As3 As 0.380 0.620 0.445
As4 As 0.620 0.380 0.555
As5 As 0.620 0.380 0.945
As6 As 0.877 0.123 0.750
```

---

(3)
Starting from a GGA-PBE-relaxed structure, the PXRD pattern of TlFe2As was calculated for Cu Kα (λ = 1.5418 Å).
Kinematic intensities with the Lorentz-polarization factor, no thermal factor.

Principal peaks in the range 10° ≤ 2θ ≤ 90°, low angle first:
d_spacing	two_theta	intensity
3.454	25.79	42.3
3.083	28.96	53.9
2.591	34.61	41.6
2.300	39.18	100.0
2.190	41.23	85.0
2.109	42.89	37.8

Cell and atoms:
```
data_TlFe2As
_chemical_formula_sum 'Tl1 Fe2 As1'
_cell_length_a 3.181
_cell_length_b 3.079
_cell_length_c 7.058
_cell_angle_alpha 90.00
_cell_angle_beta 101.79
_cell_angle_gamma 90.00
_space_group_name_H-M_alt 'P 1'
_space_group_IT_number 1
loop_
_space_group_symop_operation_xyz
'x,y,z'
loop_
_atom_site_label
_atom_site_type_symbol
_atom_site_fract_x
_atom_site_fract_y
_atom_site_fract_z
Tl1 Tl 0.000 0.000 0.000
Fe1 Fe 0.426 0.500 0.324
Fe2 Fe 0.574 0.500 0.676
As1 As 0.000 0.000 0.500
```

---

(4)
Starting from a GGA-PBE-relaxed structure, the PXRD pattern of TlFeAs2 was calculated for Cu Kα (λ = 1.5418 Å).
Kinematic intensities with the Lorentz-polarization factor, no thermal factor.

Principal peaks in the range 10° ≤ 2θ ≤ 90°, low angle first:
d_spacing	two_theta	intensity
5.169	17.15	31.9
2.919	30.63	57.3
2.816	31.78	25.7
2.747	32.60	51.7
2.310	38.98	100.0
1.827	49.92	25.0

Cell and atoms:
```
data_TlFeAs2
_chemical_formula_sum 'Tl1 Fe1 As2'
_cell_length_a 6.034
_cell_length_b 6.034
_cell_length_c 6.034
_cell_angle_alpha 151.93
_cell_angle_beta 125.84
_cell_angle_gamma 62.10
_space_group_name_H-M_alt 'P 1'
_space_group_IT_number 1
loop_
_space_group_symop_operation_xyz
'x,y,z'
loop_
_atom_site_label
_atom_site_type_symbol
_atom_site_fract_x
_atom_site_fract_y
_atom_site_fract_z
Tl1 Tl 0.000 0.000 0.000
Fe1 Fe 0.500 0.500 0.000
As1 As 0.313 0.813 0.500
As2 As 0.687 0.187 0.500
```

---

(5)
Starting from a GGA-PBE-relaxed structure, the PXRD pattern of TlFeAs4 was calculated for Cu Kα (λ = 1.5418 Å).
Kinematic intensities with the Lorentz-polarization factor, no thermal factor.

Principal peaks in the range 10° ≤ 2θ ≤ 90°, low angle first:
d_spacing	two_theta	intensity
2.824	31.68	42.0
2.409	37.33	100.0
2.306	39.06	27.5
1.631	56.43	16.3
1.537	60.19	33.1
1.412	66.17	23.9

Cell and atoms:
```
data_TlFeAs4
_chemical_formula_sum 'Tl1 Fe1 As4'
_cell_length_a 5.649
_cell_length_b 5.649
_cell_length_c 5.649
_cell_angle_alpha 60.00
_cell_angle_beta 60.00
_cell_angle_gamma 60.00
_space_group_name_H-M_alt 'P 1'
_space_group_IT_number 1
loop_
_space_group_symop_operation_xyz
'x,y,z'
loop_
_atom_site_label
_atom_site_type_symbol
_atom_site_fract_x
_atom_site_fract_y
_atom_site_fract_z
Tl1 Tl 0.000 0.000 0.000
Fe1 Fe 0.250 0.250 0.250
As1 As 0.127 0.624 0.624
As2 As 0.624 0.127 0.624
As3 As 0.624 0.624 0.127
As4 As 0.624 0.624 0.624
```

---

(6)
Starting from a GGA-PBE-relaxed structure, the PXRD pattern of TmFe4As12 was calculated for Cu Kα (λ = 1.5418 Å).
Kinematic intensities with the Lorentz-polarization factor, no thermal factor.

Principal peaks in the range 10° ≤ 2θ ≤ 90°, low angle first:
d_spacing	two_theta	intensity
2.634	34.04	100.0
2.226	40.52	54.8
1.863	48.90	10.4
1.700	53.92	29.5
1.634	56.32	31.7
1.228	77.76	16.2

Cell and atoms:
```
data_TmFe4As12
_chemical_formula_sum 'Tm1 Fe4 As12'
_cell_length_a 7.214
_cell_length_b 7.214
_cell_length_c 7.214
_cell_angle_alpha 109.47
_cell_angle_beta 109.47
_cell_angle_gamma 109.47
_space_group_name_H-M_alt 'P 1'
_space_group_IT_number 1
loop_
_space_group_symop_operation_xyz
'x,y,z'
loop_
_atom_site_label
_atom_site_type_symbol
_atom_site_fract_x
_atom_site_fract_y
_atom_site_fract_z
Tm1 Tm 0.000 0.000 0.000
Fe1 Fe 0.000 0.000 0.500
Fe2 Fe 0.000 0.500 0.000
Fe3 Fe 0.500 0.000 0.000
Fe4 Fe 0.500 0.500 0.500
As1 As 0.155 0.341 0.495
As2 As 0.155 0.659 0.814
As3 As 0.186 0.845 0.341
As4 As 0.341 0.186 0.845
As5 As 0.341 0.495 0.155
As6 As 0.495 0.155 0.341
As7 As 0.505 0.845 0.659
As8 As 0.659 0.505 0.845
As9 As 0.659 0.814 0.155
As10 As 0.814 0.155 0.659
As11 As 0.845 0.341 0.186
As12 As 0.845 0.659 0.505
```